Starting from a crystal structure in Alexandria, relaxed with PBE, the PXRD pattern of Mg3Sc2Cu2 was simulated for CuKα.

Crystal structure
a = 10.185 Å, b = 10.185 Å, c = 3.251 Å
α = 90.00°, β = 90.00°, γ = 155.62°
Sites, in units of the cell vectors:
Mg 0.000 0.000 0.000
Mg 0.420 0.580 0.500
Mg 0.580 0.420 0.500
Sc 0.176 0.824 0.000
Sc 0.824 0.176 0.000
Cu 0.286 0.714 0.500
Cu 0.714 0.286 0.500

Main lines, low angle first (5 to 70 degrees two-theta):
8.88 deg, I 100
34.89 deg, I 21
37.22 deg, I 18
37.92 deg, I 21
38.78 deg, I 14
41.55 deg, I 19